# 1
Diffraction record for Eu3Tl. The powder X-ray diffraction pattern is computed, not measured: it uses a cell relaxed with GGA-PBE and Cu Kα (λ = 1.5418 Å).
Lines closer than 0.1° are merged.

Largest 10 diffraction maxima, by angle, 10 to 90 degrees two-theta:
2θ 27.82, I 24, hkl 2 0 0
2θ 31.01, I 24, hkl 0 0 2
2θ 31.93, I 100, hkl 2 0 1
2θ 42.14, I 16, hkl 2 0 2
2θ 49.22, I 19, hkl 2 2 0
2θ 55.75, I 21, hkl 2 0 3
2θ 59.32, I 22, hkl 2 2 2
2θ 59.88, I 16, hkl 4 0 1
2θ 81.08, I 13, hkl 4 2 1
2θ 85.33, I 8, hkl 2 2 4

Structure:
Cell lengths 7.4049, 7.4049, 5.7678 Å; angles 90.00, 90.00, 120.00 degrees
Space group P6_3/mmc (No. 194)
Symmetry-distinct sites (fractional):
Eu 0.1754 0.3509 0.2500 (multiplicity 6)
Tl 0.3333 0.6667 0.7500 (multiplicity 2)



# 2
Diffraction record for Eu3V. The powder X-ray diffraction pattern is computed, not measured: it uses a cell relaxed with GGA-PBE and Cu Kα (λ = 1.5418 Å).
Lines closer than 0.1° are merged.

Largest 10 diffraction maxima, by angle, 10 to 90 degrees two-theta:
2θ 19.23, I 12, hkl 1 0 1
2θ 30.32, I 100, hkl 1 1 2
2θ 34.19, I 36, hkl 2 0 0
2θ 37.02, I 15, hkl 0 0 4
2θ 49.13, I 13, hkl 2 2 0
2θ 51.27, I 23, hkl 2 0 4
2θ 58.84, I 30, hkl 3 1 2
2θ 62.60, I 12, hkl 1 1 6
2θ 63.08, I 12, hkl 2 2 4
2θ 83.43, I 11, hkl 3 1 6

Structure:
Cell lengths 5.245, 5.245, 9.714 Å; angles 90.00, 90.00, 90.00 degrees
Space group I4/mmm (No. 139)
Symmetry-distinct sites (fractional):
Eu 0.000 0.000 0.000 (multiplicity 2)
Eu 0.000 0.500 0.250 (multiplicity 4)
V 0.000 0.000 0.500 (multiplicity 2)



# 3
Diffraction record for Eu3V. The powder X-ray diffraction pattern is computed, not measured: it uses a cell relaxed with GGA-PBE and Cu Kα (λ = 1.5418 Å).
Lines closer than 0.1° are merged.

Largest 10 diffraction maxima, by angle, 10 to 90 degrees two-theta:
2θ 18.92, I 9, hkl 1 1 1
2θ 21.88, I 5, hkl 2 0 0
2θ 31.14, I 100, hkl 2 2 0
2θ 36.69, I 5, hkl 3 1 1
2θ 44.62, I 18, hkl 4 0 0
2θ 48.87, I 2, hkl 3 3 1
2θ 55.41, I 38, hkl 4 2 2
2θ 64.94, I 12, hkl 4 4 0
2θ 73.77, I 16, hkl 6 2 0
2θ 82.22, I 4, hkl 4 4 4

Structure:
Cell lengths 8.123, 8.123, 8.123 Å; angles 90.00, 90.00, 90.00 degrees
Space group Fm-3m (No. 225)
Symmetry-distinct sites (fractional):
Eu 0.000 0.000 0.000 (multiplicity 4)
Eu 0.250 0.250 0.250 (multiplicity 8)
V 0.000 0.000 0.500 (multiplicity 4)



# 4
Diffraction record for Eu3W. The powder X-ray diffraction pattern is computed, not measured: it uses a cell relaxed with GGA-PBE and Cu Kα (λ = 1.5418 Å).
Lines closer than 0.1° are merged.

Largest 10 diffraction maxima, by angle, 10 to 90 degrees two-theta:
2θ 27.65, I 24, hkl 2 0 0
2θ 31.88, I 23, hkl 0 0 2
2θ 31.99, I 100, hkl 2 0 1
2θ 42.69, I 15, hkl 2 0 2
2θ 48.89, I 19, hkl 2 2 0
2θ 56.87, I 20, hkl 2 0 3
2θ 59.59, I 36, hkl 2 2 2
2θ 78.23, I 7, hkl 4 0 3
2θ 80.61, I 11, hkl 4 2 1
2θ 86.89, I 8, hkl 2 2 4

Structure:
Cell lengths 7.4516, 7.4516, 5.6147 Å; angles 90.00, 90.00, 120.00 degrees
Space group P6_3/mmc (No. 194)
Symmetry-distinct sites (fractional):
Eu 0.1793 0.3587 0.2500 (multiplicity 6)
W 0.3333 0.6667 0.7500 (multiplicity 2)



# 5
Diffraction record for Eu3W. The powder X-ray diffraction pattern is computed, not measured: it uses a cell relaxed with GGA-PBE and Cu Kα (λ = 1.5418 Å).
Lines closer than 0.1° are merged.

Largest 10 diffraction maxima, by angle, 10 to 90 degrees two-theta:
2θ 31.85, I 100, hkl 1 1 2
2θ 35.61, I 37, hkl 2 0 0
2θ 39.49, I 14, hkl 0 0 4
2θ 51.25, I 13, hkl 2 2 0
2θ 54.21, I 22, hkl 2 0 4
2θ 61.61, I 30, hkl 3 1 2
2θ 66.56, I 12, hkl 2 2 4
2θ 66.86, I 12, hkl 1 1 6
2θ 84.18, I 6, hkl 3 3 2
2θ 88.91, I 12, hkl 3 1 6

Structure:
Cell lengths 5.042, 5.042, 9.128 Å; angles 90.00, 90.00, 90.00 degrees
Space group I4/mmm (No. 139)
Symmetry-distinct sites (fractional):
Eu 0.000 0.000 0.000 (multiplicity 2)
Eu 0.000 0.500 0.250 (multiplicity 4)
W 0.000 0.000 0.500 (multiplicity 2)



# 6
Diffraction record for Eu3Y. The powder X-ray diffraction pattern is computed, not measured: it uses a cell relaxed with GGA-PBE and Cu Kα (λ = 1.5418 Å).
Lines closer than 0.1° are merged.

Largest 10 diffraction maxima, by angle, 10 to 90 degrees two-theta:
2θ 26.63, I 23, hkl 2 0 0
2θ 28.54, I 26, hkl 0 0 2
2θ 30.28, I 100, hkl 2 0 1
2θ 39.43, I 16, hkl 2 0 2
2θ 47.01, I 20, hkl 2 2 0
2θ 51.64, I 22, hkl 2 0 3
2θ 55.92, I 23, hkl 2 2 2
2θ 56.95, I 16, hkl 4 0 1
2θ 76.87, I 14, hkl 4 2 1
2θ 82.23, I 10, hkl 2 0 5

Structure:
Cell lengths 7.7311, 7.7311, 6.2554 Å; angles 90.00, 90.00, 120.00 degrees
Space group P6_3/mmc (No. 194)
Symmetry-distinct sites (fractional):
Eu 0.1696 0.3391 0.2500 (multiplicity 6)
Y 0.3333 0.6667 0.7500 (multiplicity 2)